Simulated powder X-ray diffraction pattern
Compound: Pu2Si3AgAu4
Radiation: copper Kα
Structure: a cell relaxed with PBE
Kinematic intensities with the Lorentz-polarization factor, no thermal factor.

Principal peaks in the range 10° ≤ 2θ ≤ 90°, low angle first:
26.5°, I 20
30.6°, I 19
32.4°, I 37
33.9°, I 100
42.1°, I 47
47.1°, I 26
65.0°, I 20
71.6°, I 23

```
data_Pu2Si3AgAu4
_chemical_formula_sum 'Pu2 Si3 Ag1 Au4'
_cell_length_a 4.2949
_cell_length_b 4.2949
_cell_length_c 10.8020
_cell_angle_alpha 90.00
_cell_angle_beta 90.00
_cell_angle_gamma 90.00
_space_group_name_H-M_alt 'P 1'
_space_group_IT_number 1
loop_
_space_group_symop_operation_xyz
'x,y,z'
loop_
_atom_site_label
_atom_site_fract_x
_atom_site_fract_y
_atom_site_fract_z
Pu1 0.0000 0.5000 0.2436
Pu2 0.5000 0.0000 0.7564
Si1 0.0000 0.5000 0.8690
Si2 0.5000 0.0000 0.1310
Si3 0.5000 0.5000 0.5000
Ag1 0.0000 0.0000 0.5000
Au1 0.0000 0.0000 0.0000
Au2 0.0000 0.5000 0.6480
Au3 0.5000 0.0000 0.3520
Au4 0.5000 0.5000 0.0000
```

Simulated powder X-ray diffraction pattern
Compound: Nd6HoIn2
Radiation: copper Kα
Structure: a cell relaxed with PBE
Kinematic intensities with the Lorentz-polarization factor, no thermal factor.

Principal peaks in the range 10° ≤ 2θ ≤ 90°, low angle first:
30.8°, I 97
31.7°, I 99
32.1°, I 100
43.6°, I 15
47.2°, I 20
55.1°, I 26
55.9°, I 26
57.5°, I 33

```
data_Nd6HoIn2
_chemical_formula_sum 'Nd6 Ho1 In2'
_cell_length_a 6.8329
_cell_length_b 6.8329
_cell_length_c 12.1389
_cell_angle_alpha 107.30
_cell_angle_beta 107.30
_cell_angle_gamma 32.71
_space_group_name_H-M_alt 'P 1'
_space_group_IT_number 1
loop_
_space_group_symop_operation_xyz
'x,y,z'
loop_
_atom_site_label
_atom_site_fract_x
_atom_site_fract_y
_atom_site_fract_z
Nd1 0.0188 0.0188 0.3393
Nd2 0.3069 0.3069 0.4082
Nd3 0.3192 0.3192 0.1227
Nd4 0.6808 0.6808 0.8773
Nd5 0.6931 0.6931 0.5918
Nd6 0.9812 0.9812 0.6607
Ho1 0.0000 0.0000 0.0000
In1 0.3597 0.3597 0.8052
In2 0.6403 0.6403 0.1948
```

Simulated powder X-ray diffraction pattern
Compound: Er12MgAl3
Radiation: copper Kα
Structure: a cell relaxed with PBE
Kinematic intensities with the Lorentz-polarization factor, no thermal factor.

Principal peaks in the range 10° ≤ 2θ ≤ 90°, low angle first:
18.7°, I 20
26.5°, I 18
32.6°, I 100
37.8°, I 16
37.9°, I 34
54.6°, I 34
64.9°, I 13
65.1°, I 27

```
data_Er12MgAl3
_chemical_formula_sum 'Er12 Mg1 Al3'
_cell_length_a 4.7499
_cell_length_b 4.7499
_cell_length_c 19.0628
_cell_angle_alpha 90.00
_cell_angle_beta 90.00
_cell_angle_gamma 90.00
_space_group_name_H-M_alt 'P 1'
_space_group_IT_number 1
loop_
_space_group_symop_operation_xyz
'x,y,z'
loop_
_atom_site_label
_atom_site_fract_x
_atom_site_fract_y
_atom_site_fract_z
Er1 0.0000 0.0000 0.0000
Er2 0.0000 0.0000 0.2462
Er3 0.0000 0.0000 0.5000
Er4 0.0000 0.0000 0.7538
Er5 0.0000 0.5000 0.1231
Er6 0.0000 0.5000 0.3685
Er7 0.0000 0.5000 0.6315
Er8 0.0000 0.5000 0.8769
Er9 0.5000 0.0000 0.1231
Er10 0.5000 0.0000 0.3685
Er11 0.5000 0.0000 0.6315
Er12 0.5000 0.0000 0.8769
Mg1 0.5000 0.5000 0.5000
Al1 0.5000 0.5000 0.0000
Al2 0.5000 0.5000 0.2468
Al3 0.5000 0.5000 0.7532
```

Simulated powder X-ray diffraction pattern
Compound: LiCa3As2H
Radiation: copper Kα
Structure: a cell relaxed with PBE
Kinematic intensities with the Lorentz-polarization factor, no thermal factor.

Principal peaks in the range 10° ≤ 2θ ≤ 90°, low angle first:
26.8°, I 87
30.1°, I 94
30.7°, I 89
31.8°, I 100
34.9°, I 83
38.6°, I 57
40.9°, I 85
42.2°, I 85

```
data_LiCa3As2H
_chemical_formula_sum 'Li4 Ca12 As8 H4'
_cell_length_a 11.4429
_cell_length_b 4.2821
_cell_length_c 11.8837
_cell_angle_alpha 90.00
_cell_angle_beta 90.00
_cell_angle_gamma 90.00
_space_group_name_H-M_alt 'P 1'
_space_group_IT_number 1
loop_
_space_group_symop_operation_xyz
'x,y,z'
loop_
_atom_site_label
_atom_site_fract_x
_atom_site_fract_y
_atom_site_fract_z
Li1 0.1321 0.2500 0.1390
Li2 0.3679 0.7500 0.6390
Li3 0.6321 0.2500 0.3610
Li4 0.8679 0.7500 0.8610
Ca1 0.0602 0.2500 0.3784
Ca2 0.1348 0.7500 0.9387
Ca3 0.2096 0.2500 0.7043
Ca4 0.2904 0.7500 0.2043
Ca5 0.3652 0.2500 0.4387
Ca6 0.4398 0.7500 0.8784
Ca7 0.5602 0.2500 0.1216
Ca8 0.6348 0.7500 0.5613
Ca9 0.7096 0.2500 0.7957
Ca10 0.7904 0.7500 0.2957
Ca11 0.8652 0.2500 0.0613
Ca12 0.9398 0.7500 0.6216
As1 0.0186 0.7500 0.1759
As2 0.1843 0.7500 0.5131
As3 0.3157 0.2500 0.0131
As4 0.4814 0.2500 0.6759
As5 0.5186 0.7500 0.3241
As6 0.6843 0.7500 0.9869
As7 0.8157 0.2500 0.4869
As8 0.9814 0.2500 0.8241
H1 0.2370 0.2500 0.2785
H2 0.2630 0.7500 0.7785
H3 0.7370 0.2500 0.2215
H4 0.7630 0.7500 0.7215
```

Simulated powder X-ray diffraction pattern
Compound: Pd8Pt2Au3
Radiation: copper Kα
Structure: a cell relaxed with PBE
Kinematic intensities with the Lorentz-polarization factor, no thermal factor.

Principal peaks in the range 10° ≤ 2θ ≤ 90°, low angle first:
39.4°, I 100
45.1°, I 17
45.3°, I 18
47.2°, I 14
65.8°, I 11
67.5°, I 15
79.3°, I 13
79.6°, I 13

```
data_Pd8Pt2Au3
_chemical_formula_sum 'Pd8 Pt2 Au3'
_cell_length_a 6.3387
_cell_length_b 4.0071
_cell_length_c 8.6784
_cell_angle_alpha 90.00
_cell_angle_beta 99.87
_cell_angle_gamma 90.00
_space_group_name_H-M_alt 'P 1'
_space_group_IT_number 1
loop_
_space_group_symop_operation_xyz
'x,y,z'
loop_
_atom_site_label
_atom_site_fract_x
_atom_site_fract_y
_atom_site_fract_z
Pd1 0.0610 0.0000 0.3488
Pd2 0.0922 0.5000 0.8668
Pd3 0.3501 0.5000 0.2680
Pd4 0.3763 0.0000 0.8074
Pd5 0.6237 0.0000 0.1926
Pd6 0.6499 0.5000 0.7320
Pd7 0.9078 0.5000 0.1332
Pd8 0.9390 0.0000 0.6512
Pt1 0.2080 0.0000 0.0702
Pt2 0.7920 0.0000 0.9298
Au1 0.2197 0.5000 0.5748
Au2 0.5000 0.0000 0.5000
Au3 0.7803 0.5000 0.4252
```

Simulated powder X-ray diffraction pattern
Compound: CsTlCoHg2
Radiation: copper Kα
Structure: a cell relaxed with PBE
Kinematic intensities with the Lorentz-polarization factor, no thermal factor.

Principal peaks in the range 10° ≤ 2θ ≤ 90°, low angle first:
29.4°, I 100
33.6°, I 50
34.9°, I 23
48.3°, I 18
49.3°, I 34
57.6°, I 31
59.3°, I 14
61.0°, I 18

```
data_CsTlCoHg2
_chemical_formula_sum 'Cs1 Tl1 Co1 Hg2'
_cell_length_a 5.3288
_cell_length_b 5.3288
_cell_length_c 5.1351
_cell_angle_alpha 90.00
_cell_angle_beta 90.00
_cell_angle_gamma 90.00
_space_group_name_H-M_alt 'P 1'
_space_group_IT_number 1
loop_
_space_group_symop_operation_xyz
'x,y,z'
loop_
_atom_site_label
_atom_site_fract_x
_atom_site_fract_y
_atom_site_fract_z
Cs1 0.0000 0.0000 0.0000
Tl1 0.5000 0.5000 0.0000
Co1 0.5000 0.5000 0.5000
Hg1 0.0000 0.5000 0.5000
Hg2 0.5000 0.0000 0.5000
```

Simulated powder X-ray diffraction pattern
Compound: Pr2Pa2Rh5
Radiation: copper Kα
Structure: a cell relaxed with PBE
Kinematic intensities with the Lorentz-polarization factor, no thermal factor.

Principal peaks in the range 10° ≤ 2θ ≤ 90°, low angle first:
12.3°, I 100
32.3°, I 73
33.5°, I 32
35.4°, I 42
36.5°, I 83
37.9°, I 63
38.4°, I 65
41.1°, I 59

```
data_Pr2Pa2Rh5
_chemical_formula_sum 'Pr4 Pa4 Rh10'
_cell_length_a 8.1176
_cell_length_b 8.1176
_cell_length_c 7.6335
_cell_angle_alpha 90.00
_cell_angle_beta 90.00
_cell_angle_gamma 55.04
_space_group_name_H-M_alt 'P 1'
_space_group_IT_number 1
loop_
_space_group_symop_operation_xyz
'x,y,z'
loop_
_atom_site_label
_atom_site_fract_x
_atom_site_fract_y
_atom_site_fract_z
Pr1 0.2024 0.2024 0.0000
Pr2 0.2976 0.2976 0.5000
Pr3 0.7024 0.7024 0.5000
Pr4 0.7976 0.7976 0.0000
Pa1 0.1637 0.8363 0.6662
Pa2 0.3363 0.6637 0.1662
Pa3 0.6637 0.3363 0.8338
Pa4 0.8363 0.1637 0.3338
Rh1 0.0000 0.0000 0.0000
Rh2 0.0282 0.7459 0.3661
Rh3 0.2459 0.5282 0.8661
Rh4 0.2541 0.9718 0.3661
Rh5 0.4718 0.7541 0.8661
Rh6 0.5000 0.5000 0.5000
Rh7 0.5282 0.2459 0.1339
Rh8 0.7459 0.0282 0.6339
Rh9 0.7541 0.4718 0.1339
Rh10 0.9718 0.2541 0.6339
```

Copy entry 5 word for word.
Simulated powder X-ray diffraction pattern
Compound: Pd8Pt2Au3
Radiation: copper Kα
Structure: a cell relaxed with PBE
Kinematic intensities with the Lorentz-polarization factor, no thermal factor.

Principal peaks in the range 10° ≤ 2θ ≤ 90°, low angle first:
39.4°, I 100
45.1°, I 17
45.3°, I 18
47.2°, I 14
65.8°, I 11
67.5°, I 15
79.3°, I 13
79.6°, I 13

```
data_Pd8Pt2Au3
_chemical_formula_sum 'Pd8 Pt2 Au3'
_cell_length_a 6.3387
_cell_length_b 4.0071
_cell_length_c 8.6784
_cell_angle_alpha 90.00
_cell_angle_beta 99.87
_cell_angle_gamma 90.00
_space_group_name_H-M_alt 'P 1'
_space_group_IT_number 1
loop_
_space_group_symop_operation_xyz
'x,y,z'
loop_
_atom_site_label
_atom_site_fract_x
_atom_site_fract_y
_atom_site_fract_z
Pd1 0.0610 0.0000 0.3488
Pd2 0.0922 0.5000 0.8668
Pd3 0.3501 0.5000 0.2680
Pd4 0.3763 0.0000 0.8074
Pd5 0.6237 0.0000 0.1926
Pd6 0.6499 0.5000 0.7320
Pd7 0.9078 0.5000 0.1332
Pd8 0.9390 0.0000 0.6512
Pt1 0.2080 0.0000 0.0702
Pt2 0.7920 0.0000 0.9298
Au1 0.2197 0.5000 0.5748
Au2 0.5000 0.0000 0.5000
Au3 0.7803 0.5000 0.4252
```